Structure and calculated powder diffraction line list of La6InGa2 (a cell relaxed with GGA-PBE; Cu Kα (λ = 1.5418 Å)).
Neutral-atom scattering factors, no anomalous dispersion.

Cell: 6.595 8.812 11.270 Å, 90.00 118.69 90.00°
Fractional positions:
La 0.062 0.053 0.210
La 0.062 0.447 0.710
La 0.159 0.697 0.067
La 0.159 0.803 0.567
La 0.422 0.148 0.058
La 0.422 0.352 0.558
La 0.578 0.648 0.442
La 0.578 0.852 0.942
La 0.841 0.197 0.433
La 0.841 0.303 0.933
La 0.938 0.553 0.290
La 0.938 0.947 0.790
In 0.500 0.000 0.500
In 0.500 0.500 0.000
Ga 0.318 0.122 0.739
Ga 0.318 0.378 0.239
Ga 0.682 0.622 0.761
Ga 0.682 0.878 0.261

The 10 most intense peaks (15° ≤ 2θ ≤ 90°), sorted by position:
2θ = 26.55°, 3.357 Å, I 48; 2θ = 28.86°, 3.094 Å, I 59; 2θ = 29.09°, 3.069 Å, I 42; 2θ = 29.43°, 3.035 Å, I 45; 2θ = 30.61°, 2.920 Å, I 27; 2θ = 31.45°, 2.845 Å, I 86; 2θ = 32.58°, 2.748 Å, I 28; 2θ = 33.44°, 2.680 Å, I 100; 2θ = 33.97°, 2.639 Å, I 23; 2θ = 44.56°, 2.034 Å, I 22

Structure and calculated powder diffraction line list of La5In2Ga (a cell relaxed with GGA-PBE; Cu Kα (λ = 1.5418 Å)).
Neutral-atom scattering factors, no anomalous dispersion.

Cell: 6.942 13.493 5.412 Å, 90.00 90.00 90.00°
Fractional positions:
La 0.000 0.000 0.000
La 0.140 0.280 0.000
La 0.145 0.590 0.500
La 0.355 0.090 0.500
La 0.360 0.780 0.000
La 0.500 0.500 0.000
La 0.640 0.220 0.000
La 0.645 0.910 0.500
La 0.855 0.410 0.500
La 0.860 0.720 0.000
In 0.113 0.848 0.500
In 0.387 0.348 0.500
In 0.613 0.652 0.500
In 0.887 0.152 0.500
Ga 0.000 0.500 0.000
Ga 0.500 0.000 0.000

The 10 most intense peaks (15° ≤ 2θ ≤ 90°), sorted by position:
2θ = 28.86°, 3.094 Å, I 23; 2θ = 29.44°, 3.034 Å, I 15; 2θ = 31.29°, 2.859 Å, I 100; 2θ = 32.59°, 2.748 Å, I 21; 2θ = 33.10°, 2.706 Å, I 33; 2θ = 33.42°, 2.681 Å, I 12; 2θ = 44.88°, 2.019 Å, I 9; 2θ = 47.14°, 1.928 Å, I 15; 2θ = 58.00°, 1.590 Å, I 17; 2θ = 58.88°, 1.569 Å, I 8

Structure and calculated powder diffraction line list of La9In3Ga2 (a cell relaxed with GGA-PBE; Cu Kα (λ = 1.5418 Å)).
Neutral-atom scattering factors, no anomalous dispersion.

Cell: 9.691 9.691 4.954 Å, 90.10 90.10 95.47°
Fractional positions:
La 0.000 0.000 0.000
La 0.079 0.653 0.999
La 0.233 0.470 0.499
La 0.347 0.921 0.001
La 0.470 0.233 0.499
La 0.530 0.767 0.501
La 0.653 0.079 0.999
La 0.767 0.530 0.501
La 0.921 0.347 0.001
In 0.253 0.253 0.998
In 0.500 0.500 0.000
In 0.747 0.747 0.002
Ga 0.169 0.831 0.500
Ga 0.831 0.169 0.500

The 10 most intense peaks (15° ≤ 2θ ≤ 90°), sorted by position:
2θ = 20.15°, 4.407 Å, I 20; 2θ = 21.37°, 4.159 Å, I 18; 2θ = 28.01°, 3.185 Å, I 34; 2θ = 30.12°, 2.967 Å, I 38; 2θ = 30.78°, 2.905 Å, I 100; 2θ = 31.94°, 2.802 Å, I 22; 2θ = 33.21°, 2.697 Å, I 49; 2θ = 35.26°, 2.546 Å, I 80; 2θ = 36.26°, 2.477 Å, I 48; 2θ = 61.89°, 1.499 Å, I 22

Structure and calculated powder diffraction line list of La14InGa (a cell relaxed with GGA-PBE; Cu Kα (λ = 1.5418 Å)).
Neutral-atom scattering factors, no anomalous dispersion.

Cell: 8.458 8.458 7.560 Å, 90.00 90.00 90.00°
Fractional positions:
La 0.000 0.000 0.000
La 0.000 0.500 0.000
La 0.000 0.500 0.500
La 0.244 0.244 0.280
La 0.244 0.244 0.720
La 0.244 0.756 0.280
La 0.244 0.756 0.720
La 0.500 0.000 0.000
La 0.500 0.000 0.500
La 0.500 0.500 0.000
La 0.756 0.244 0.280
La 0.756 0.244 0.720
La 0.756 0.756 0.280
La 0.756 0.756 0.720
In 0.500 0.500 0.500
Ga 0.000 0.000 0.500

The 10 most intense peaks (15° ≤ 2θ ≤ 90°), sorted by position:
2θ = 29.88°, 2.990 Å, I 63; 2θ = 31.75°, 2.818 Å, I 100; 2θ = 42.76°, 2.114 Å, I 23; 2θ = 54.23°, 1.691 Å, I 43; 2θ = 57.70°, 1.598 Å, I 14; 2θ = 66.33°, 1.409 Å, I 9; 2θ = 70.41°, 1.337 Å, I 11; 2θ = 71.42°, 1.321 Å, I 9; 2θ = 86.97°, 1.120 Å, I 11; 2θ = 89.85°, 1.092 Å, I 8

Structure and calculated powder diffraction line list of La3Nd3In2Ga (a cell relaxed with GGA-PBE; Cu Kα (λ = 1.5418 Å)).
Neutral-atom scattering factors, no anomalous dispersion.

Cell: 9.186 9.186 3.868 Å, 90.00 90.00 120.00°
Fractional positions:
La 0.000 0.731 0.000
La 0.269 0.269 0.000
La 0.731 0.000 0.000
Nd 0.000 0.391 0.500
Nd 0.391 0.000 0.500
Nd 0.609 0.609 0.500
In 0.333 0.667 0.000
In 0.667 0.333 0.000
Ga 0.000 0.000 0.500

The 10 most intense peaks (15° ≤ 2θ ≤ 90°), sorted by position:
2θ = 29.71°, 3.007 Å, I 47; 2θ = 30.21°, 2.959 Å, I 100; 2θ = 32.28°, 2.773 Å, I 53; 2θ = 33.80°, 2.652 Å, I 58; 2θ = 37.90°, 2.374 Å, I 20; 2θ = 40.90°, 2.207 Å, I 12; 2θ = 46.98°, 1.934 Å, I 15; 2θ = 55.69°, 1.651 Å, I 33; 2θ = 56.58°, 1.627 Å, I 15; 2θ = 59.12°, 1.563 Å, I 23

Structure and calculated powder diffraction line list of LaNdInGa (a cell relaxed with GGA-PBE; Cu Kα (λ = 1.5418 Å)).
Neutral-atom scattering factors, no anomalous dispersion.

Cell: 7.671 7.671 7.671 Å, 90.00 90.00 90.00°
Fractional positions:
La 0.000 0.000 0.000
La 0.000 0.500 0.500
La 0.500 0.000 0.500
La 0.500 0.500 0.000
Nd 0.000 0.000 0.500
Nd 0.000 0.500 0.000
Nd 0.500 0.000 0.000
Nd 0.500 0.500 0.500
In 0.250 0.250 0.250
In 0.250 0.750 0.750
In 0.750 0.250 0.750
In 0.750 0.750 0.250
Ga 0.250 0.250 0.750
Ga 0.250 0.750 0.250
Ga 0.750 0.250 0.250
Ga 0.750 0.750 0.750

The 10 most intense peaks (15° ≤ 2θ ≤ 90°), sorted by position:
2θ = 20.05°, 4.429 Å, I 2; 2θ = 23.19°, 3.836 Å, I 5; 2θ = 33.03°, 2.712 Å, I 100; 2θ = 40.74°, 2.215 Å, I 1; 2θ = 47.40°, 1.918 Å, I 18; 2θ = 53.41°, 1.715 Å, I 2; 2θ = 58.99°, 1.566 Å, I 37; 2θ = 69.29°, 1.356 Å, I 11; 2θ = 78.92°, 1.213 Å, I 16; 2θ = 88.25°, 1.107 Å, I 4

Structure and calculated powder diffraction line list of La2InGaNi6 (a cell relaxed with GGA-PBE; Cu Kα (λ = 1.5418 Å)).
Neutral-atom scattering factors, no anomalous dispersion.

Cell: 6.517 6.517 6.517 Å, 60.00 60.00 60.00°
Fractional positions:
La 0.250 0.250 0.250
La 0.750 0.750 0.750
In 0.000 0.000 0.000
Ga 0.500 0.500 0.500
Ni 0.261 0.261 0.739
Ni 0.261 0.739 0.261
Ni 0.261 0.739 0.739
Ni 0.739 0.261 0.261
Ni 0.739 0.261 0.739
Ni 0.739 0.739 0.261

The 10 most intense peaks (15° ≤ 2θ ≤ 90°), sorted by position:
2θ = 27.37°, 3.259 Å, I 80; 2θ = 33.68°, 2.661 Å, I 62; 2θ = 39.09°, 2.304 Å, I 100; 2θ = 48.38°, 1.881 Å, I 33; 2θ = 56.48°, 1.629 Å, I 65; 2θ = 63.87°, 1.457 Å, I 16; 2θ = 67.40°, 1.390 Å, I 22; 2θ = 70.83°, 1.330 Å, I 21; 2θ = 77.50°, 1.232 Å, I 18; 2θ = 84.00°, 1.152 Å, I 10

Structure and calculated powder diffraction line list of LaIn2GaSe4 (a cell relaxed with GGA-PBE; Cu Kα (λ = 1.5418 Å)).
Neutral-atom scattering factors, no anomalous dispersion.

Cell: 8.636 8.636 8.636 Å, 120.80 119.98 89.33°
Fractional positions:
La 0.000 0.000 0.000
La 0.500 0.000 0.500
In 0.000 0.500 0.500
In 0.500 0.000 0.000
In 0.500 0.500 0.000
In 0.500 0.500 0.500
Ga 0.000 0.000 0.500
Ga 0.000 0.500 0.000
Se 0.256 0.247 0.490
Se 0.256 0.766 0.010
Se 0.266 0.247 0.019
Se 0.273 0.753 0.519
Se 0.727 0.247 0.481
Se 0.734 0.753 0.981
Se 0.744 0.234 0.990
Se 0.744 0.753 0.510

The 10 most intense peaks (15° ≤ 2θ ≤ 90°), sorted by position:
2θ = 29.08°, 3.071 Å, I 52; 2θ = 29.43°, 3.035 Å, I 100; 2θ = 41.84°, 2.159 Å, I 94; 2θ = 42.38°, 2.133 Å, I 18; 2θ = 51.74°, 1.767 Å, I 19; 2θ = 52.22°, 1.752 Å, I 20; 2θ = 68.48°, 1.370 Å, I 17; 2θ = 69.03°, 1.361 Å, I 16; 2θ = 76.40°, 1.247 Å, I 17; 2θ = 77.15°, 1.236 Å, I 12

Structure and calculated powder diffraction line list of LaInGaSn (a cell relaxed with GGA-PBE; Cu Kα (λ = 1.5418 Å)).
Neutral-atom scattering factors, no anomalous dispersion.

Cell: 4.531 4.680 4.866 Å, 90.00 90.00 90.00°
Fractional positions:
La 0.000 0.000 0.000
In 0.000 0.500 0.500
Ga 0.500 0.500 0.000
Sn 0.500 0.000 0.500

The 10 most intense peaks (15° ≤ 2θ ≤ 90°), sorted by position:
2θ = 33.11°, 2.706 Å, I 100; 2θ = 36.95°, 2.433 Å, I 19; 2θ = 38.47°, 2.340 Å, I 17; 2θ = 39.79°, 2.265 Å, I 15; 2θ = 54.40°, 1.686 Å, I 12; 2θ = 55.42°, 1.658 Å, I 11; 2θ = 64.15°, 1.452 Å, I 15; 2θ = 66.21°, 1.412 Å, I 13; 2θ = 68.01°, 1.378 Å, I 12; 2θ = 69.48°, 1.353 Å, I 12

Structure and calculated powder diffraction line list of Li4In3Ga (a cell relaxed with GGA-PBE; Cu Kα (λ = 1.5418 Å)).
Neutral-atom scattering factors, no anomalous dispersion.

Cell: 14.762 4.621 4.622 Å, 90.00 108.09 90.00°
Fractional positions:
Li 0.120 0.000 0.119
Li 0.120 0.500 0.620
Li 0.380 0.000 0.380
Li 0.380 0.500 0.881
Li 0.620 0.000 0.620
Li 0.620 0.500 0.119
Li 0.880 0.000 0.881
Li 0.880 0.500 0.380
In 0.000 0.000 0.500
In 0.249 0.500 0.249
In 0.251 0.000 0.751
In 0.500 0.500 0.500
In 0.749 0.000 0.249
In 0.751 0.500 0.751
Ga 0.000 0.500 0.000
Ga 0.500 0.000 0.000

The 10 most intense peaks (15° ≤ 2θ ≤ 90°), sorted by position:
2θ = 25.39°, 3.508 Å, I 58; 2θ = 27.29°, 3.268 Å, I 97; 2θ = 37.62°, 2.391 Å, I 100; 2θ = 38.98°, 2.311 Å, I 45; 2θ = 47.07°, 1.931 Å, I 32; 2θ = 47.15°, 1.927 Å, I 11; 2θ = 56.30°, 1.634 Å, I 15; 2θ = 63.67°, 1.462 Å, I 17; 2θ = 67.01°, 1.397 Å, I 13; 2θ = 69.75°, 1.348 Å, I 15

Structure and calculated powder diffraction line list of LiIn14Ga (a cell relaxed with GGA-PBE; Cu Kα (λ = 1.5418 Å)).
Neutral-atom scattering factors, no anomalous dispersion.

Cell: 7.045 7.045 8.477 Å, 90.00 90.00 90.28°
Fractional positions:
Li 0.000 0.000 0.000
In 0.000 0.000 0.500
In 0.000 0.500 0.000
In 0.000 0.500 0.500
In 0.250 0.250 0.239
In 0.250 0.250 0.761
In 0.250 0.750 0.240
In 0.250 0.750 0.760
In 0.500 0.000 0.000
In 0.500 0.000 0.500
In 0.500 0.500 0.500
In 0.750 0.250 0.240
In 0.750 0.250 0.760
In 0.750 0.750 0.239
In 0.750 0.750 0.761
Ga 0.500 0.500 0.000

The 10 most intense peaks (15° ≤ 2θ ≤ 90°), sorted by position:
2θ = 33.07°, 2.709 Å, I 100; 2θ = 35.97°, 2.497 Å, I 20; 2θ = 36.15°, 2.485 Å, I 20; 2θ = 42.66°, 2.119 Å, I 12; 2θ = 51.92°, 1.761 Å, I 14; 2θ = 57.00°, 1.616 Å, I 10; 2θ = 57.12°, 1.612 Å, I 10; 2θ = 62.82°, 1.479 Å, I 15; 2θ = 63.07°, 1.474 Å, I 15; 2θ = 69.38°, 1.355 Å, I 11

Structure and calculated powder diffraction line list of Li2In5Ga (a cell relaxed with GGA-PBE; Cu Kα (λ = 1.5418 Å)).
Neutral-atom scattering factors, no anomalous dispersion.

Cell: 6.263 12.428 4.636 Å, 90.00 90.00 90.00°
Fractional positions:
Li 0.229 0.131 0.000
Li 0.271 0.631 0.000
Li 0.729 0.369 0.000
Li 0.771 0.869 0.000
In 0.000 0.000 0.500
In 0.020 0.746 0.500
In 0.222 0.386 0.000
In 0.278 0.886 0.000
In 0.480 0.246 0.500
In 0.500 0.500 0.500
In 0.520 0.754 0.500
In 0.722 0.114 0.000
In 0.778 0.614 0.000
In 0.980 0.254 0.500
Ga 0.000 0.500 0.500
Ga 0.500 0.000 0.500

The 10 most intense peaks (15° ≤ 2θ ≤ 90°), sorted by position:
2θ = 19.15°, 4.636 Å, I 17; 2θ = 20.13°, 4.411 Å, I 43; 2θ = 27.92°, 3.196 Å, I 40; 2θ = 34.56°, 2.595 Å, I 98; 2θ = 34.76°, 2.581 Å, I 100; 2θ = 38.85°, 2.318 Å, I 38; 2θ = 40.92°, 2.206 Å, I 59; 2θ = 57.69°, 1.598 Å, I 42; 2θ = 70.32°, 1.339 Å, I 18; 2θ = 70.67°, 1.333 Å, I 20

Structure and calculated powder diffraction line list of LiIn6Ga2 (a cell relaxed with GGA-PBE; Cu Kα (λ = 1.5418 Å)).
Neutral-atom scattering factors, no anomalous dispersion.

Cell: 9.170 9.170 5.468 Å, 96.80 96.80 71.58°
Fractional positions:
Li 0.126 0.874 0.750
Li 0.874 0.126 0.250
In 0.019 0.768 0.197
In 0.091 0.345 0.348
In 0.232 0.981 0.303
In 0.316 0.560 0.481
In 0.345 0.091 0.848
In 0.440 0.684 0.019
In 0.560 0.316 0.981
In 0.655 0.909 0.152
In 0.684 0.440 0.519
In 0.768 0.019 0.697
In 0.909 0.655 0.652
In 0.981 0.232 0.803
Ga 0.207 0.455 0.923
Ga 0.455 0.207 0.423
Ga 0.545 0.793 0.577
Ga 0.793 0.545 0.077

The 10 most intense peaks (15° ≤ 2θ ≤ 90°), sorted by position:
2θ = 25.20°, 3.534 Å, I 20; 2θ = 33.42°, 2.681 Å, I 60; 2θ = 33.53°, 2.673 Å, I 58; 2θ = 33.86°, 2.647 Å, I 58; 2θ = 35.63°, 2.520 Å, I 100; 2θ = 41.32°, 2.185 Å, I 33; 2θ = 41.61°, 2.171 Å, I 33; 2θ = 54.38°, 1.687 Å, I 14; 2θ = 61.17°, 1.515 Å, I 21; 2θ = 61.71°, 1.503 Å, I 18